Theoretical XRD peak list
Compound: KBeCd
Radiation: Cu Kα (weighted mean of Kα1 and Kα2)
Structure: a GGA-PBE-relaxed structure
Lines closer than 0.1° are merged.

Crystal structure
```
KBeCd
1.0
12.506 0.000 0.000
0.000 4.199 0.000
-0.732 0.000 5.797
K Be Cd
4 4 4
Cartesian
0.000 0.000 0.000
0.128 2.100 2.902
6.253 2.100 0.000
6.381 0.000 2.902
3.049 2.100 0.185
3.143 0.000 1.142
9.302 0.000 0.185
9.396 2.100 1.142
2.773 0.000 4.489
3.433 2.100 2.602
9.026 2.100 4.489
9.685 0.000 2.602
```

Most intense lines, 10° ≤ 2θ ≤ 80°, sorted by position:
| h k l | 2theta | I (rel.) |
| --- | --- | --- |
| 2 0 0 | 14.28 | 1000 |
| 0 0 1 | 15.29 | 386 |
| 1 1 -1 | 26.67 | 372 |
| 1 1 1 | 27.70 | 976 |
| 4 0 0 | 28.78 | 640 |
| 3 1 -1 | 32.84 | 915 |
| 1 1 -2 | 37.66 | 330 |
| 1 1 2 | 39.19 | 364 |